Simulated powder XRD pattern
Compound: K2MgTeO4
Radiation: Cu Kα
Structure: a cell relaxed with GGA-PBE
Peak positions follow from Bragg's law for the DFT cell and can differ from measured ones.

Structure:
```
K2MgTeO4
1.0
-2.9939 2.9939 4.1380
2.9939 -2.9939 4.1380
2.9939 2.9939 -4.1380
K Mg Te O
2 1 1 4
Direct
0.0000 0.0000 0.0000
0.7500 0.2500 0.5000
0.5000 0.5000 0.0000
0.2500 0.7500 0.5000
0.2244 0.6180 0.0935
0.3820 0.4755 0.6064
0.5245 0.1309 0.9065
0.8691 0.7756 0.3936
```

Principal peaks in the range 10° ≤ 2θ ≤ 90°, in order of falling intensity:
d 2.959, 30.20°, rel. 100; d 4.851, 18.29°, rel. 55; d 1.722, 53.20°, rel. 36; d 2.994, 29.84°, rel. 32; d 1.702, 53.86°, rel. 23; d 2.117, 42.71°, rel. 21; d 4.234, 20.98°, rel. 20; d 2.548, 35.23°, rel. 15; d 1.921, 47.31°, rel. 10; d 2.426, 37.06°, rel. 10



Simulated powder XRD pattern
Compound: KMg2Ti2O7
Radiation: Cu Kα
Structure: a cell relaxed with GGA-PBE
Peak positions follow from Bragg's law for the DFT cell and can differ from measured ones.

Structure:
```
KMg2Ti2O7
1.0
-1.9922 8.5607 2.0402
1.9922 -8.5607 2.0402
1.9922 8.5607 -2.0402
K Mg Ti O
1 2 2 7
Direct
0.0000 0.0000 0.0000
0.2255 0.4772 0.7483
0.7288 0.4772 0.2517
0.4043 0.0160 0.3884
0.6276 0.0160 0.6116
0.0884 0.4669 0.6214
0.2441 0.9743 0.2698
0.3609 0.4817 0.8792
0.4796 0.9796 0.5000
0.6025 0.4817 0.1208
0.7045 0.9743 0.7302
0.8455 0.4669 0.3786
```

Principal peaks in the range 10° ≤ 2θ ≤ 90°, in order of falling intensity:
d 2.040, 44.40°, rel. 100; d 1.992, 45.53°, rel. 97; d 2.140, 42.23°, rel. 96; d 2.705, 33.12°, rel. 91; d 3.267, 27.30°, rel. 74; d 3.319, 26.86°, rel. 71; d 2.852, 31.37°, rel. 52; d 1.425, 65.48°, rel. 51; d 2.623, 34.18°, rel. 50; d 1.458, 63.83°, rel. 47